TbMg8Ag4: computed X-ray powder pattern (CuKα), based on the PBE geometry in Alexandria.
Peak positions follow from Bragg's law for the DFT cell and can differ from measured ones.

Cell and atoms:
abc: 9.8318 9.8318 5.6543
angles: 90.00 90.00 90.00
Space group I4/mmm (No. 139)
Unique sites:
1 Tb 0.0000 0.0000 0.0000 x2
2 Mg 0.0000 0.2131 0.5000 x8
3 Mg 0.0000 0.3424 0.0000 x8
4 Ag 0.2500 0.2500 0.2500 x8

Largest 10 diffraction maxima, in order of falling intensity, 10 to 80 degrees two-theta:
two_theta, intensity, index
36.67, 100, 2 0 2
36.57, 95, 4 0 0
25.64, 94, 2 2 0
18.06, 66, 2 0 0
52.72, 65, 4 4 0
41.16, 31, 2 2 2
65.87, 30, 6 0 2
77.75, 28, 8 0 0
41.06, 24, 4 2 0
12.73, 23, 1 1 0